For Li3Co2C4O12, a DFT-relaxed cell (GGA+U, the Materials Project) gives the theoretical X-ray powder pattern in this record (CuKα).
Kinematic intensities with the Lorentz-polarization factor, no thermal factor.

Structural model:
Lattice parameters (Å, degrees): 5.436 6.381 8.394 84.47 72.98 65.24
Space group P1 (No. 1)
Inequivalent atoms, fractional coordinates:
Li 0.000 0.000 0.000 [1 per cell]
Li 0.090 0.474 0.829 [1 per cell]
Li 0.365 0.900 0.368 [1 per cell]
Co 0.499 0.456 0.184 [1 per cell]
Co 0.709 0.944 0.675 [1 per cell]
C 0.168 0.557 0.467 [1 per cell]
C 0.568 0.344 0.889 [1 per cell]
C 0.575 0.831 0.981 [1 per cell]
C 0.758 0.072 0.380 [1 per cell]
O 0.113 0.497 0.342 [1 per cell]
O 0.330 0.424 0.007 [1 per cell]
O 0.407 0.892 0.887 [1 per cell]
O 0.412 0.569 0.429 [1 per cell]
O 0.501 0.766 0.133 [1 per cell]
O 0.545 0.032 0.470 [1 per cell]
O 0.568 0.282 0.749 [1 per cell]
O 0.763 0.148 0.228 [1 per cell]
O 0.790 0.333 0.926 [1 per cell]
O 0.822 0.834 0.918 [1 per cell]
O 0.961 0.032 0.441 [1 per cell]
O 0.997 0.605 0.614 [1 per cell]

Largest 8 diffraction maxima, most intense first, 15 to 90 degrees two-theta:
| h k l | 2θ (°) | Rel. int. |
| --- | --- | --- |
| 1 1 1 | 19.2 | 100 |
| 1 1 0 | 18.7 | 82 |
| 1 0 0 | 18.7 | 57 |
| 1 0 1 | 18.9 | 45 |
| 1 2 0 | 28.8 | 35 |
| 0 2 0 | 30.9 | 22 |
| 0 2 -1 | 32.5 | 18 |
| 0 2 1 | 33.2 | 16 |

=====

For LiCoC2O6, a DFT-relaxed cell (GGA+U, the Materials Project) gives the theoretical X-ray powder pattern in this record (CuKα).
Kinematic intensities with the Lorentz-polarization factor, no thermal factor.

Structural model:
Lattice parameters (Å, degrees): 4.618 5.769 14.436 82.64 88.69 89.93
Space group P1 (No. 1)
Inequivalent atoms, fractional coordinates:
Li 0.000 0.000 0.000 [1 per cell]
Li 0.000 0.499 0.500 [1 per cell]
Li 0.497 0.250 0.250 [1 per cell]
Li 0.502 0.749 0.749 [1 per cell]
Co 0.001 0.250 0.750 [1 per cell]
Co 0.499 0.000 0.500 [1 per cell]
Co 0.501 0.499 0.000 [1 per cell]
Co 0.997 0.750 0.250 [1 per cell]
C 0.000 0.391 0.123 [1 per cell]
C 0.001 0.607 0.876 [1 per cell]
C 0.006 0.893 0.623 [1 per cell]
C 0.499 0.644 0.374 [1 per cell]
C 0.499 0.857 0.126 [1 per cell]
C 0.500 0.141 0.873 [1 per cell]
C 0.500 0.356 0.626 [1 per cell]
C 0.992 0.106 0.377 [1 per cell]
O 0.128 0.458 0.195 [1 per cell]
O 0.136 0.961 0.694 [1 per cell]
O 0.157 0.325 0.055 [1 per cell]
O 0.157 0.832 0.553 [1 per cell]
O 0.222 0.134 0.870 [1 per cell]
O 0.222 0.638 0.371 [1 per cell]
O 0.268 0.124 0.378 [1 per cell]
O 0.279 0.615 0.879 [1 per cell]
O 0.342 0.923 0.195 [1 per cell]
O 0.344 0.427 0.694 [1 per cell]
O 0.370 0.289 0.556 [1 per cell]
O 0.371 0.791 0.055 [1 per cell]
O 0.628 0.208 0.944 [1 per cell]
O 0.629 0.711 0.444 [1 per cell]
O 0.656 0.573 0.306 [1 per cell]
O 0.657 0.075 0.805 [1 per cell]
O 0.722 0.383 0.120 [1 per cell]
O 0.729 0.875 0.622 [1 per cell]
O 0.777 0.865 0.129 [1 per cell]
O 0.778 0.360 0.629 [1 per cell]
O 0.840 0.168 0.447 [1 per cell]
O 0.843 0.673 0.944 [1 per cell]
O 0.862 0.038 0.306 [1 per cell]
O 0.873 0.541 0.805 [1 per cell]

Largest 8 diffraction maxima, most intense first, 15 to 90 degrees two-theta:
| h k l | 2θ (°) | Rel. int. |
| --- | --- | --- |
| 0 2 2 | 32.1 | 100 |
| 0 1 -1 | 17.4 | 92 |
| 1 0 2 | 22.7 | 68 |
| 1 1 -3 | 32.7 | 43 |
| 1 0 -2 | 23.2 | 32 |
| 1 0 6 | 42.2 | 30 |
| -1 2 4 | 42.9 | 28 |
| 2 1 -1 | 43.2 | 26 |

=====

For LiCoC2O6, a DFT-relaxed cell (GGA+U, the Materials Project) gives the theoretical X-ray powder pattern in this record (CuKα).
Kinematic intensities with the Lorentz-polarization factor, no thermal factor.

Structural model:
Lattice parameters (Å, degrees): 4.673 5.768 15.779 82.89 81.55 66.23
Space group P1 (No. 1)
Inequivalent atoms, fractional coordinates:
Li 0.000 0.000 0.000 [1 per cell]
Li 0.000 0.498 0.501 [1 per cell]
Li 0.501 0.746 0.252 [1 per cell]
Li 0.506 0.247 0.751 [1 per cell]
Co 0.249 0.873 0.626 [1 per cell]
Co 0.252 0.370 0.126 [1 per cell]
Co 0.750 0.124 0.376 [1 per cell]
Co 0.754 0.622 0.876 [1 per cell]
C 0.133 0.920 0.813 [1 per cell]
C 0.134 0.420 0.312 [1 per cell]
C 0.370 0.825 0.439 [1 per cell]
C 0.372 0.325 0.940 [1 per cell]
C 0.635 0.172 0.562 [1 per cell]
C 0.640 0.664 0.061 [1 per cell]
C 0.860 0.576 0.692 [1 per cell]
C 0.870 0.076 0.189 [1 per cell]
O 0.000 0.999 0.743 [1 per cell]
O 0.001 0.491 0.240 [1 per cell]
O 0.016 0.633 0.624 [1 per cell]
O 0.023 0.142 0.122 [1 per cell]
O 0.095 0.825 0.437 [1 per cell]
O 0.096 0.325 0.937 [1 per cell]
O 0.406 0.423 0.314 [1 per cell]
O 0.409 0.919 0.815 [1 per cell]
O 0.482 0.605 0.128 [1 per cell]
O 0.493 0.105 0.630 [1 per cell]
O 0.501 0.243 0.492 [1 per cell]
O 0.504 0.753 0.509 [1 per cell]
O 0.505 0.251 0.010 [1 per cell]
O 0.512 0.893 0.370 [1 per cell]
O 0.513 0.733 0.989 [1 per cell]
O 0.516 0.394 0.871 [1 per cell]
O 0.588 0.573 0.689 [1 per cell]
O 0.592 0.081 0.184 [1 per cell]
O 0.912 0.170 0.563 [1 per cell]
O 0.914 0.663 0.066 [1 per cell]
O 0.988 0.353 0.380 [1 per cell]
O 0.990 0.848 0.881 [1 per cell]
O 0.991 0.513 0.763 [1 per cell]
O 0.998 0.999 0.260 [1 per cell]

Largest 8 diffraction maxima, most intense first, 15 to 90 degrees two-theta:
| h k l | 2θ (°) | Rel. int. |
| --- | --- | --- |
| 1 -1 1 | 32.2 | 100 |
| 0 1 1 | 17.4 | 92 |
| 1 1 -1 | 22.7 | 67 |
| 1 -1 5 | 42.6 | 58 |
| 0 1 5 | 32.3 | 49 |
| 0 0 4 | 22.8 | 33 |
| 1 0 -6 | 42.7 | 29 |
| 1 3 5 | 53.1 | 23 |

=====

For LiCoC2O6, a DFT-relaxed cell (GGA+U, the Materials Project) gives the theoretical X-ray powder pattern in this record (CuKα).
Kinematic intensities with the Lorentz-polarization factor, no thermal factor.

Structural model:
Lattice parameters (Å, degrees): 7.399 9.832 9.060 90.00 121.96 90.00
Space group P2_1/c (No. 14)
Inequivalent atoms, fractional coordinates:
Li 0.158 0.111 0.163 [4 per cell]
Co 0.005 0.640 0.067 [4 per cell]
C 0.025 0.116 0.775 [4 per cell]
C 0.397 0.010 0.641 [4 per cell]
O 0.018 0.514 0.260 [4 per cell]
O 0.019 0.165 0.908 [4 per cell]
O 0.037 0.200 0.672 [4 per cell]
O 0.285 0.594 0.144 [4 per cell]
O 0.294 0.119 0.553 [4 per cell]
O 0.405 0.503 0.782 [4 per cell]

Largest 8 diffraction maxima, most intense first, 15 to 90 degrees two-theta:
| h k l | 2θ (°) | Rel. int. |
| --- | --- | --- |
| 2 0 0 | 28.4 | 100 |
| 1 0 -2 | 19.7 | 86 |
| 1 1 -3 | 31.3 | 79 |
| 1 1 -2 | 21.7 | 78 |
| 1 2 -3 | 35.1 | 69 |
| 1 1 -1 | 15.5 | 63 |
| 1 3 -1 | 30.1 | 60 |
| 1 2 0 | 23.0 | 59 |

=====

For LiCoC2O6, a DFT-relaxed cell (GGA+U, the Materials Project) gives the theoretical X-ray powder pattern in this record (CuKα).
Kinematic intensities with the Lorentz-polarization factor, no thermal factor.

Structural model:
Lattice parameters (Å, degrees): 6.494 9.353 9.354 113.09 103.21 102.80
Space group P1 (No. 1)
Inequivalent atoms, fractional coordinates:
Li 0.000 0.000 0.000 [1 per cell]
Li 0.031 0.503 0.510 [1 per cell]
Li 0.178 0.876 0.373 [1 per cell]
Li 0.219 0.381 0.889 [1 per cell]
Co 0.367 0.288 0.355 [1 per cell]
Co 0.367 0.792 0.856 [1 per cell]
Co 0.831 0.024 0.591 [1 per cell]
Co 0.839 0.524 0.087 [1 per cell]
C 0.004 0.340 0.163 [1 per cell]
C 0.215 0.226 0.549 [1 per cell]
C 0.226 0.724 0.043 [1 per cell]
C 0.454 0.854 0.654 [1 per cell]
C 0.489 0.357 0.158 [1 per cell]
C 0.719 0.217 0.524 [1 per cell]
C 0.745 0.735 0.027 [1 per cell]
C 0.965 0.831 0.651 [1 per cell]
O 0.018 0.719 0.676 [1 per cell]
O 0.060 0.226 0.189 [1 per cell]
O 0.164 0.202 0.664 [1 per cell]
O 0.172 0.694 0.153 [1 per cell]
O 0.243 0.367 0.544 [1 per cell]
O 0.250 0.113 0.429 [1 per cell]
O 0.257 0.867 0.043 [1 per cell]
O 0.263 0.616 0.920 [1 per cell]
O 0.417 0.707 0.646 [1 per cell]
O 0.434 0.206 0.133 [1 per cell]
O 0.448 0.962 0.792 [1 per cell]
O 0.487 0.886 0.540 [1 per cell]
O 0.489 0.467 0.295 [1 per cell]
O 0.532 0.396 0.045 [1 per cell]
O 0.678 0.330 0.489 [1 per cell]
O 0.706 0.850 0.995 [1 per cell]
O 0.732 0.594 0.913 [1 per cell]
O 0.735 0.083 0.417 [1 per cell]
O 0.760 0.228 0.671 [1 per cell]
O 0.807 0.753 0.178 [1 per cell]
O 0.932 0.837 0.510 [1 per cell]
O 0.932 0.955 0.762 [1 per cell]
O 0.963 0.456 0.273 [1 per cell]
O 0.978 0.342 0.021 [1 per cell]

Largest 8 diffraction maxima, most intense first, 15 to 90 degrees two-theta:
| h k l | 2θ (°) | Rel. int. |
| --- | --- | --- |
| 0 1 1 | 18.8 | 100 |
| 1 0 -2 | 21.9 | 41 |
| 1 1 -1 | 18.8 | 30 |
| 2 1 -1 | 32.3 | 27 |
| -1 3 1 | 36.7 | 15 |
| 0 0 2 | 22.1 | 14 |
| 1 -4 2 | 39.5 | 11 |
| 1 2 0 | 30.9 | 8 |

=====

For LiCoC2O6, a DFT-relaxed cell (GGA+U, the Materials Project) gives the theoretical X-ray powder pattern in this record (CuKα).
Kinematic intensities with the Lorentz-polarization factor, no thermal factor.

Structural model:
Lattice parameters (Å, degrees): 4.661 4.666 20.631 83.58 89.94 60.25
Space group P-1 (No. 2)
Inequivalent atoms, fractional coordinates:
Li 0.125 0.250 0.375 [2 per cell]
Li 0.374 0.752 0.122 [2 per cell]
Co 0.000 0.500 0.000 [1 per cell]
Co 0.250 0.000 0.751 [2 per cell]
Co 0.500 0.500 0.500 [1 per cell]
C 0.064 0.373 0.191 [2 per cell]
C 0.186 0.128 0.559 [2 per cell]
C 0.312 0.874 0.943 [2 per cell]
C 0.436 0.628 0.308 [2 per cell]
O 0.043 0.159 0.942 [2 per cell]
O 0.056 0.100 0.190 [2 per cell]
O 0.094 0.865 0.441 [2 per cell]
O 0.155 0.635 0.308 [2 per cell]
O 0.194 0.401 0.559 [2 per cell]
O 0.209 0.348 0.810 [2 per cell]
O 0.292 0.651 0.692 [2 per cell]
O 0.294 0.605 0.943 [2 per cell]
O 0.344 0.366 0.190 [2 per cell]
O 0.404 0.141 0.058 [2 per cell]
O 0.444 0.901 0.308 [2 per cell]
O 0.459 0.848 0.559 [2 per cell]

Largest 8 diffraction maxima, most intense first, 15 to 90 degrees two-theta:
| h k l | 2θ (°) | Rel. int. |
| --- | --- | --- |
| 0 1 6 | 32.2 | 100 |
| 1 0 1 | 22.7 | 66 |
| 0 0 4 | 17.3 | 62 |
| 1 2 5 | 42.6 | 20 |
| 1 -1 3 | 42.4 | 20 |
| 2 1 -4 | 42.7 | 19 |
| 1 1 11 | 52.9 | 19 |
| 1 2 9 | 53.1 | 16 |

=====

For Li2CoCO4, a DFT-relaxed cell (GGA+U, the Materials Project) gives the theoretical X-ray powder pattern in this record (CuKα).
Kinematic intensities with the Lorentz-polarization factor, no thermal factor.

Structural model:
Lattice parameters (Å, degrees): 6.699 5.094 10.816 90.00 96.82 90.00
Space group P2_1/c (No. 14)
Inequivalent atoms, fractional coordinates:
Li 0.117 0.153 0.289 [4 per cell]
Li 0.228 0.179 0.571 [4 per cell]
Co 0.488 0.634 0.660 [4 per cell]
C 0.192 0.680 0.438 [4 per cell]
O 0.060 0.701 0.859 [4 per cell]
O 0.228 0.071 0.926 [4 per cell]
O 0.287 0.688 0.030 [4 per cell]
O 0.360 0.162 0.215 [4 per cell]

Largest 8 diffraction maxima, most intense first, 15 to 90 degrees two-theta:
| h k l | 2θ (°) | Rel. int. |
| --- | --- | --- |
| 1 1 -2 | 26.6 | 100 |
| 2 0 -2 | 29.9 | 58 |
| 1 1 3 | 34.6 | 52 |
| 0 1 1 | 19.3 | 33 |
| 2 2 1 | 46.3 | 22 |
| 1 1 1 | 24.1 | 21 |
| 1 0 2 | 22.5 | 21 |
| 0 1 3 | 30.5 | 19 |

=====

For LiCo2C4O12, a DFT-relaxed cell (GGA+U, the Materials Project) gives the theoretical X-ray powder pattern in this record (CuKα).
Kinematic intensities with the Lorentz-polarization factor, no thermal factor.

Structural model:
Lattice parameters (Å, degrees): 7.456 9.551 8.433 90.00 109.58 90.00
Space group P2_1 (No. 4)
Inequivalent atoms, fractional coordinates:
Li 0.247 0.000 0.109 [2 per cell]
Co 0.210 0.441 0.182 [2 per cell]
Co 0.325 0.722 0.323 [2 per cell]
C 0.008 0.560 0.382 [2 per cell]
C 0.020 0.707 0.004 [2 per cell]
C 0.493 0.088 0.899 [2 per cell]
C 0.495 0.987 0.482 [2 per cell]
O 0.027 0.446 0.308 [2 per cell]
O 0.030 0.572 0.028 [2 per cell]
O 0.111 0.672 0.383 [2 per cell]
O 0.114 0.066 0.545 [2 per cell]
O 0.125 0.248 0.121 [2 per cell]
O 0.140 0.794 0.097 [2 per cell]
O 0.368 0.093 0.966 [2 per cell]
O 0.375 0.925 0.353 [2 per cell]
O 0.380 0.487 0.065 [2 per cell]
O 0.415 0.411 0.387 [2 per cell]
O 0.483 0.619 0.526 [2 per cell]
O 0.498 0.184 0.789 [2 per cell]

Largest 8 diffraction maxima, most intense first, 15 to 90 degrees two-theta:
| h k l | 2θ (°) | Rel. int. |
| --- | --- | --- |
| 2 0 -2 | 27.7 | 100 |
| 1 3 0 | 30.8 | 94 |
| 1 1 0 | 15.7 | 85 |
| 1 1 1 | 21.6 | 82 |
| 1 0 1 | 19.5 | 73 |
| 1 2 2 | 34.9 | 58 |
| 3 0 -3 | 42.1 | 54 |
| 1 2 -1 | 23.2 | 48 |